The following is a calculated PXRD pattern of SmErTm2Sb4. It was derived from the GGA-PBE geometry in Alexandria, using Cu Kα (weighted mean of Kα1 and Kα2).

Atomic structure:
```
data_SmErTm2Sb4
_symmetry_space_group_name_H-M 'I 4/m m m'
_symmetry_Int_Tables_number 139
_symmetry_space_group_name_Hall '-I 4 2'
_cell_length_a 6.186
_cell_length_b 6.186
_cell_length_c 12.378
_cell_angle_alpha 90.00
_cell_angle_beta 90.00
_cell_angle_gamma 90.00
loop_
_atom_site_label
_atom_site_type_symbol
_atom_site_fract_x
_atom_site_fract_y
_atom_site_fract_z
Sm1 Sm 0.000 0.000 0.000
Er1 Er 0.000 0.000 0.500
Tm1 Tm 0.000 0.500 0.250
Sb1 Sb 0.000 0.000 0.253
Sb2 Sb 0.000 0.500 0.000
```

Most intense lines, 10° ≤ 2θ ≤ 90°, by intensity:
| two_theta | I/Imax | hkl |
| --- | --- | --- |
| 28.86 | 100.0 | 2 0 0 |
| 41.27 | 76.1 | 2 2 0 |
| 67.73 | 34.8 | 4 2 0 |
| 51.14 | 27.2 | 2 2 4 |
| 75.24 | 25.8 | 4 2 4 |
| 59.79 | 12.7 | 4 0 0 |